[1]
# ZrMnBe
Calculated X-ray powder pattern, Cu Kα (λ = 1.5418 Å). Input: the PBE geometry in Alexandria.

Peak list (10 most intense, 10° ≤ 2θ ≤ 90°, sorted by position)
- 2θ = 22.76°, d 3.907, I 81, hkl 1 0 1
- 2θ = 35.93°, d 2.499, I 65, hkl 0 2 0
- 2θ = 37.02°, d 2.429, I 100, hkl 1 1 2
- 2θ = 42.96°, d 2.105, I 42, hkl 1 2 1
- 2θ = 43.60°, d 2.076, I 61, hkl 0 1 3
- 2θ = 44.18°, d 2.050, I 97, hkl 2 1 1
- 2θ = 65.30°, d 1.429, I 18, hkl 1 3 2
- 2θ = 67.41°, d 1.389, I 18, hkl 2 0 4
- 2θ = 70.34°, d 1.338, I 22, hkl 2 3 1
- 2θ = 78.82°, d 1.214, I 27, hkl 2 2 4

Structural model:
a b c (Å): 4.7586 4.9985 6.8454
angles (deg): 90.00 90.00 90.00
Space group Imma (No. 74)
One atom of each set of equivalent atoms:
Zr (0.0000, 0.2500, 0.1175)
Mn (0.2500, 0.2500, 0.7500)
Be (0.0000, 0.0000, 0.5000)

---

[2]
# Sr2PaSnO6
Calculated X-ray powder pattern, Cu Kα (λ = 1.5418 Å). Input: the PBE geometry in Alexandria.

Peak list (10 most intense, 10° ≤ 2θ ≤ 90°, sorted by position)
- 2θ = 20.19°, d 4.397, I 14, hkl 0 0 2
- 2θ = 20.38°, d 4.357, I 22, hkl 1 0 0
- 2θ = 22.78°, d 3.904, I 19, hkl 1 0 1
- 2θ = 28.85°, d 3.095, I 100, hkl 1 0 2
- 2θ = 28.98°, d 3.081, I 55, hkl 1 1 0
- 2θ = 41.45°, d 2.178, I 34, hkl 2 0 0
- 2θ = 51.03°, d 1.790, I 16, hkl 1 1 4
- 2θ = 51.29°, d 1.781, I 43, hkl 2 1 2
- 2θ = 59.76°, d 1.548, I 16, hkl 2 0 4
- 2θ = 68.02°, d 1.378, I 20, hkl 3 1 0

Structural model:
a b c (Å): 4.3568 4.3568 8.7950
angles (deg): 90.00 90.00 90.00
Space group P4/mmm (No. 123)
One atom of each set of equivalent atoms:
Sr (0.0000, 0.0000, 0.2073)
Pa (0.5000, 0.5000, 0.5000)
Sn (0.5000, 0.5000, 0.0000)
O (0.0000, 0.5000, 0.0000)
O (0.0000, 0.5000, 0.5000)
O (0.5000, 0.5000, 0.2560)

---

[3]
# BaCu5P4
Calculated X-ray powder pattern, Cu Kα (λ = 1.5418 Å). Input: the PBE geometry in Alexandria.

Peak list (10 most intense, 10° ≤ 2θ ≤ 90°, sorted by position)
- 2θ = 25.81°, d 3.452, I 22, hkl 1 0 1
- 2θ = 28.83°, d 3.097, I 53, hkl 0 4 0
- 2θ = 29.28°, d 3.050, I 51, hkl 2 2 0
- 2θ = 31.27°, d 2.861, I 100, hkl 0 3 1
- 2θ = 34.92°, d 2.569, I 87, hkl 2 1 1
- 2θ = 45.03°, d 2.013, I 24, hkl 3 0 1
- 2θ = 45.74°, d 1.983, I 40, hkl 0 0 2
- 2θ = 47.49°, d 1.915, I 27, hkl 3 2 1
- 2θ = 50.65°, d 1.802, I 56, hkl 2 5 1
- 2θ = 53.94°, d 1.700, I 19, hkl 3 5 0

Structural model:
a b c (Å): 7.0096 12.3862 3.9670
angles (deg): 90.00 90.00 90.00
Space group Pmmn (No. 59, origin choice 2)
One atom of each set of equivalent atoms:
Ba (0.2500, 0.2500, 0.2393)
Cu (0.0645, 0.5580, 0.2495)
Cu (0.2500, 0.7500, 0.7618)
P (0.0875, 0.7500, 0.2616)
P (0.2500, 0.0009, 0.7498)

---

[4]
# Ca3Al3Zn2
Calculated X-ray powder pattern, Cu Kα (λ = 1.5418 Å). Input: the PBE geometry in Alexandria.

Peak list (10 most intense, 10° ≤ 2θ ≤ 90°, sorted by position)
- 2θ = 18.60°, d 4.770, I 28, hkl 1 0 1
- 2θ = 31.61°, d 2.831, I 53, hkl 2 4 0
- 2θ = 32.88°, d 2.724, I 55, hkl 1 1 2
- 2θ = 34.20°, d 2.622, I 38, hkl 0 6 0
- 2θ = 35.18°, d 2.551, I 68, hkl 2 4 1
- 2θ = 36.38°, d 2.469, I 43, hkl 3 0 1
- 2θ = 36.77°, d 2.444, I 100, hkl 1 3 2
- 2θ = 39.86°, d 2.262, I 45, hkl 1 4 2
- 2θ = 40.38°, d 2.234, I 28, hkl 3 3 1
- 2θ = 57.17°, d 1.611, I 28, hkl 2 4 3

Structural model:
a b c (Å): 8.1633 15.7202 5.8786
angles (deg): 90.00 90.00 90.00
Space group Pnma (No. 62)
One atom of each set of equivalent atoms:
Ca (0.0375, 0.1102, 0.1189)
Ca (0.1824, 0.2500, 0.6151)
Al (0.1694, 0.7500, 0.6084)
Al (0.1837, 0.0346, 0.6136)
Zn (0.1083, 0.6070, 0.3888)